Structure and calculated powder diffraction line list of CrBiTeO5 (a crystal structure in Alexandria, relaxed with GGA+U; Cu Ka).
Peak positions follow from Bragg's law for the DFT cell and can differ from measured ones.

Cell and atoms:
a b c (Å): 8.4668 8.6988 8.2553
angles (deg): 90.00 119.42 90.00
Space group C2/c (No. 15)
Asymmetric unit:
Cr: 0.0000 0.1835 0.2500 [4 per cell]
Bi: 0.0000 0.5000 0.0000 [4 per cell]
Te: 0.0000 0.1666 0.7500 [4 per cell]
O: 0.0000 0.3972 0.2500 [4 per cell]
O: 0.0063 0.2141 0.0010 [8 per cell]
O: 0.1734 0.0013 0.3375 [8 per cell]

Main lines, in order of rising 2θ (10 to 90 degrees two-theta):
| hkl | d (Å) | intensity |
| --- | --- | --- |
| 1 1 0 | 5.625 | 30 |
| 1 1 -2 | 3.729 | 100 |
| 2 0 0 | 3.687 | 86 |
| 0 2 2 | 2.774 | 61 |
| 1 3 0 | 2.699 | 64 |
| 3 1 -2 | 2.627 | 26 |
| 1 1 2 | 2.617 | 25 |
| 2 0 -4 | 2.064 | 22 |
| 4 2 -2 | 1.903 | 15 |
| 3 3 0 | 1.875 | 30 |
| 2 4 -2 | 1.863 | 15 |
| 1 3 -4 | 1.639 | 28 |